(1)
Starting from a structure optimized by DFT (PBE), the X-ray diffraction stick pattern of U2GaCo2 was calculated for CuKα.

The 10 most intense peaks (2θ = 10–90°), low angle first:
| 2θ/deg | d_spacing | I/Imax |
| --- | --- | --- |
| 25.04 | 3.556 | 17 |
| 26.48 | 3.366 | 12 |
| 28.05 | 3.181 | 37 |
| 36.77 | 2.445 | 34 |
| 38.96 | 2.312 | 100 |
| 40.09 | 2.249 | 32 |
| 53.09 | 1.725 | 15 |
| 60.29 | 1.535 | 26 |
| 61.83 | 1.501 | 15 |
| 69.80 | 1.347 | 12 |

Structure:
Cell lengths 7.1126, 7.1126, 3.3658 Å; angles 90.00, 90.00, 90.00 degrees
Fractional positions:
U: 0.1734 0.3266 0.0000
U: 0.3266 0.8266 0.0000
U: 0.6734 0.1734 0.0000
U: 0.8266 0.6734 0.0000
Ga: 0.0000 0.0000 0.5000
Ga: 0.5000 0.5000 0.5000
Co: 0.1333 0.6333 0.5000
Co: 0.3667 0.1333 0.5000
Co: 0.6333 0.8667 0.5000
Co: 0.8667 0.3667 0.5000



(2)
Starting from a structure optimized by DFT (PBE), the X-ray diffraction stick pattern of Sm2Re3Si5 was calculated for CuKα.

The 10 most intense peaks (2θ = 10–90°), low angle first:
| 2θ/deg | d_spacing | I/Imax |
| --- | --- | --- |
| 25.55 | 3.486 | 100 |
| 28.94 | 3.085 | 35 |
| 30.08 | 2.971 | 79 |
| 33.58 | 2.669 | 55 |
| 36.47 | 2.464 | 67 |
| 37.17 | 2.419 | 84 |
| 39.26 | 2.295 | 55 |
| 44.06 | 2.055 | 33 |
| 47.43 | 1.917 | 41 |
| 59.91 | 1.544 | 33 |

Structure:
Cell lengths 11.0234, 11.0234, 5.6779 Å; angles 90.00, 90.00, 90.00 degrees
Fractional positions:
Sm: 0.0761 0.2379 0.0000
Sm: 0.2379 0.9239 0.0000
Sm: 0.2621 0.4239 0.5000
Sm: 0.4239 0.7379 0.5000
Sm: 0.5761 0.2621 0.5000
Sm: 0.7379 0.5761 0.5000
Sm: 0.7621 0.0761 0.0000
Sm: 0.9239 0.7621 0.0000
Re: 0.0000 0.5000 0.2500
Re: 0.0000 0.5000 0.7500
Re: 0.1250 0.8529 0.5000
Re: 0.1471 0.1250 0.5000
Re: 0.3529 0.6250 0.0000
Re: 0.3750 0.3529 0.0000
Re: 0.5000 0.0000 0.2500
Re: 0.5000 0.0000 0.7500
Re: 0.6250 0.6471 0.0000
Re: 0.6471 0.3750 0.0000
Re: 0.8529 0.8750 0.5000
Re: 0.8750 0.1471 0.5000
Si: 0.0000 0.0000 0.2544
Si: 0.0000 0.0000 0.7456
Si: 0.0241 0.3160 0.5000
Si: 0.1730 0.6730 0.2500
Si: 0.1730 0.6730 0.7500
Si: 0.1840 0.4759 0.0000
Si: 0.3160 0.9759 0.5000
Si: 0.3270 0.1730 0.2500
Si: 0.3270 0.1730 0.7500
Si: 0.4759 0.8160 0.0000
Si: 0.5000 0.5000 0.2456
Si: 0.5000 0.5000 0.7544
Si: 0.5241 0.1840 0.0000
Si: 0.6730 0.8270 0.2500
Si: 0.6730 0.8270 0.7500
Si: 0.6840 0.0241 0.5000
Si: 0.8160 0.5241 0.0000
Si: 0.8270 0.3270 0.2500
Si: 0.8270 0.3270 0.7500
Si: 0.9759 0.6840 0.5000



(3)
Starting from a structure optimized by DFT (PBE), the X-ray diffraction stick pattern of Cr4CN4 was calculated for CuKα.

The 10 most intense peaks (2θ = 10–90°), low angle first:
| 2θ/deg | d_spacing | I/Imax |
| --- | --- | --- |
| 14.34 | 6.175 | 65 |
| 17.19 | 5.158 | 43 |
| 23.82 | 3.736 | 29 |
| 37.40 | 2.405 | 64 |
| 41.08 | 2.197 | 100 |
| 41.31 | 2.186 | 66 |
| 44.78 | 2.024 | 39 |
| 48.67 | 1.871 | 40 |
| 49.65 | 1.836 | 43 |
| 63.65 | 1.462 | 36 |

Structure:
Cell lengths 9.3823, 2.7179, 12.3509 Å; angles 90.00, 90.00, 90.00 degrees
Fractional positions:
Cr: 0.0805 0.2500 0.1794
Cr: 0.0956 0.7500 0.3630
Cr: 0.1296 0.2500 0.7313
Cr: 0.1860 0.7500 0.9276
Cr: 0.3140 0.2500 0.4276
Cr: 0.3704 0.7500 0.2313
Cr: 0.4044 0.2500 0.8630
Cr: 0.4195 0.7500 0.6794
Cr: 0.5805 0.2500 0.3206
Cr: 0.5956 0.7500 0.1370
Cr: 0.6296 0.2500 0.7687
Cr: 0.6860 0.7500 0.5724
Cr: 0.8140 0.2500 0.0724
Cr: 0.8704 0.7500 0.2687
Cr: 0.9044 0.2500 0.6370
Cr: 0.9195 0.7500 0.8206
C: 0.1593 0.7500 0.5222
C: 0.3407 0.2500 0.0222
C: 0.6593 0.7500 0.9778
C: 0.8407 0.2500 0.4778
N: 0.0465 0.2500 0.8719
N: 0.0671 0.7500 0.6113
N: 0.1972 0.2500 0.0430
N: 0.2256 0.2500 0.2836
N: 0.2744 0.7500 0.7836
N: 0.3028 0.7500 0.5430
N: 0.4329 0.2500 0.1113
N: 0.4535 0.7500 0.3719
N: 0.5465 0.2500 0.6281
N: 0.5671 0.7500 0.8887
N: 0.6972 0.2500 0.4570
N: 0.7256 0.2500 0.2164
N: 0.7744 0.7500 0.7164
N: 0.8028 0.7500 0.9570
N: 0.9329 0.2500 0.3887
N: 0.9535 0.7500 0.1281



(4)
Starting from a structure optimized by DFT (PBE), the X-ray diffraction stick pattern of Li3SbN2 was calculated for CuKα.

The 10 most intense peaks (2θ = 10–90°), low angle first:
| 2θ/deg | d_spacing | I/Imax |
| --- | --- | --- |
| 13.59 | 6.514 | 94 |
| 19.46 | 4.560 | 100 |
| 19.66 | 4.516 | 52 |
| 25.51 | 3.492 | 58 |
| 29.01 | 3.078 | 51 |
| 32.41 | 2.763 | 82 |
| 38.09 | 2.363 | 24 |
| 41.66 | 2.168 | 41 |
| 55.12 | 1.666 | 23 |
| 62.98 | 1.476 | 23 |

Structure:
Cell lengths 10.2941, 10.2941, 10.2941 Å; angles 140.34, 140.34, 57.34 degrees
Fractional positions:
Li: 0.1523 0.4023 0.3045
Li: 0.1523 0.8477 0.7500
Li: 0.2800 0.5300 0.7500
Li: 0.4023 0.1523 0.8045
Li: 0.4023 0.5977 0.2500
Li: 0.4700 0.7200 0.7500
Li: 0.5300 0.2800 0.2500
Li: 0.5977 0.4023 0.7500
Li: 0.5977 0.8477 0.1955
Li: 0.7200 0.4700 0.2500
Li: 0.8477 0.1523 0.2500
Li: 0.8477 0.5977 0.6955
Sb: 0.0018 0.2518 0.7500
Sb: 0.2518 0.0018 0.2500
Sb: 0.7482 0.9982 0.7500
Sb: 0.9982 0.7482 0.2500
N: 0.1699 0.6870 0.4829
N: 0.2959 0.3130 0.9829
N: 0.3130 0.2959 0.4829
N: 0.3130 0.8301 0.0171
N: 0.6870 0.1699 0.9829
N: 0.6870 0.7041 0.5171
N: 0.7041 0.6870 0.0171
N: 0.8301 0.3130 0.5171



(5)
Starting from a structure optimized by DFT (PBE), the X-ray diffraction stick pattern of Sr5Bi3O12 was calculated for CuKα.

The 10 most intense peaks (2θ = 10–90°), low angle first:
| 2θ/deg | d_spacing | I/Imax |
| --- | --- | --- |
| 20.33 | 4.369 | 21 |
| 28.90 | 3.089 | 100 |
| 41.33 | 2.185 | 30 |
| 46.47 | 1.954 | 10 |
| 51.22 | 1.784 | 42 |
| 59.88 | 1.545 | 19 |
| 67.88 | 1.381 | 13 |
| 75.36 | 1.261 | 6 |
| 82.60 | 1.168 | 15 |
| 82.69 | 1.167 | 8 |

Structure:
Cell lengths 6.1746, 6.1746, 8.7505 Å; angles 90.00, 90.00, 90.00 degrees
Fractional positions:
Sr: 0.0000 0.0000 0.0000
Sr: 0.0000 0.5000 0.2372
Sr: 0.0000 0.5000 0.7628
Sr: 0.5000 0.0000 0.2372
Sr: 0.5000 0.0000 0.7628
Bi: 0.0000 0.0000 0.5000
Bi: 0.5000 0.5000 0.0000
Bi: 0.5000 0.5000 0.5000
O: 0.0000 0.0000 0.2644
O: 0.0000 0.0000 0.7356
O: 0.2493 0.2493 0.5000
O: 0.2493 0.7507 0.5000
O: 0.2635 0.2635 0.0000
O: 0.2635 0.7365 0.0000
O: 0.5000 0.5000 0.2495
O: 0.5000 0.5000 0.7505
O: 0.7365 0.2635 0.0000
O: 0.7365 0.7365 0.0000
O: 0.7507 0.2493 0.5000
O: 0.7507 0.7507 0.5000



(6)
Starting from a structure optimized by DFT (PBE), the X-ray diffraction stick pattern of NaAu3 was calculated for CuKα.

The 10 most intense peaks (2θ = 10–90°), low angle first:
| 2θ/deg | d_spacing | I/Imax |
| --- | --- | --- |
| 20.10 | 4.417 | 9 |
| 23.93 | 3.719 | 24 |
| 37.09 | 2.424 | 100 |
| 40.86 | 2.209 | 19 |
| 44.18 | 2.050 | 31 |
| 61.74 | 1.503 | 23 |
| 64.26 | 1.450 | 10 |
| 71.92 | 1.313 | 15 |
| 76.59 | 1.244 | 25 |
| 79.01 | 1.212 | 12 |

Structure:
Cell lengths 4.1000, 4.1000, 8.8346 Å; angles 90.00, 90.00, 90.00 degrees
Fractional positions:
Na: 0.0000 0.0000 0.0000
Na: 0.5000 0.5000 0.5000
Au: 0.0000 0.0000 0.5000
Au: 0.0000 0.5000 0.2500
Au: 0.0000 0.5000 0.7500
Au: 0.5000 0.0000 0.2500
Au: 0.5000 0.0000 0.7500
Au: 0.5000 0.5000 0.0000